# 1
This entry pairs a crystal structure of Pa2Mn3Fe with its calculated powder X-ray diffraction pattern. Radiation: Cu Kα (weighted mean of Kα1 and Kα2). Structure: a cell relaxed with PBE.

Cell and atoms:
```
data_Pa2Mn3Fe
_chemical_formula_sum 'Pa6 Mn9 Fe3'
_space_group_name_H-M_alt 'R -3 m'
_space_group_IT_number 166
_space_group_name_Hall '-R 3 2"'
_cell_length_a 5.0860
_cell_length_b 5.0860
_cell_length_c 12.3628
_cell_angle_alpha 90.00
_cell_angle_beta 90.00
_cell_angle_gamma 120.00
loop_
_atom_site_label
_atom_site_type_symbol
_atom_site_fract_x
_atom_site_fract_y
_atom_site_fract_z
_atom_site_occupancy
Pa1 Pa 0.0000 0.0000 0.1250 1
Mn1 Mn 0.0000 0.5000 0.0000 1
Fe1 Fe 0.0000 0.0000 0.5000 1
```

Top 8 peaks for 2θ = 5–70°, in order of rising 2θ:
h k l	Position (°2θ)	Rel. int.
1 0 1	21.42	39
1 1 0	35.29	58
1 0 4	35.48	56
1 1 3	41.71	100
0 1 5	41.90	33
2 1 4	63.47	22
3 0 3	67.75	16
1 2 5	67.87	16

# 2
This entry pairs a crystal structure of Pa2MnFe3 with its calculated powder X-ray diffraction pattern. Radiation: Cu Kα (weighted mean of Kα1 and Kα2). Structure: a cell relaxed with PBE.

Cell and atoms:
```
data_Pa2MnFe3
_chemical_formula_sum 'Pa4 Mn2 Fe6'
_space_group_name_H-M_alt 'P 63/m m c'
_space_group_IT_number 194
_space_group_name_Hall '-P 6c 2c'
_cell_length_a 5.1329
_cell_length_b 5.1329
_cell_length_c 7.8112
_cell_angle_alpha 90.00
_cell_angle_beta 90.00
_cell_angle_gamma 120.00
loop_
_atom_site_label
_atom_site_type_symbol
_atom_site_fract_x
_atom_site_fract_y
_atom_site_fract_z
_atom_site_occupancy
Pa1 Pa 0.3333 0.6667 0.0655 1
Mn1 Mn 0.0000 0.0000 0.0000 1
Fe1 Fe 0.1656 0.3312 0.7500 1
```

Top 8 peaks for 2θ = 5–70°, in order of rising 2θ:
h k l	Position (°2θ)	Rel. int.
1 0 0	19.97	30
1 0 1	23.02	25
1 1 0	34.96	83
1 0 3	40.14	100
1 1 2	42.13	88
2 0 1	42.28	47
2 1 3	66.20	47
3 0 2	67.62	21

# 3
This entry pairs a crystal structure of ScPaMnFe with its calculated powder X-ray diffraction pattern. Radiation: Cu Kα (weighted mean of Kα1 and Kα2). Structure: a cell relaxed with PBE.

Cell and atoms:
```
data_ScPaMnFe
_chemical_formula_sum 'Sc4 Pa4 Mn4 Fe4'
_space_group_name_H-M_alt 'F -4 3 m'
_space_group_IT_number 216
_space_group_name_Hall 'F -4 2 3'
_cell_length_a 6.4474
_cell_length_b 6.4474
_cell_length_c 6.4474
_cell_angle_alpha 90.00
_cell_angle_beta 90.00
_cell_angle_gamma 90.00
loop_
_atom_site_label
_atom_site_type_symbol
_atom_site_fract_x
_atom_site_fract_y
_atom_site_fract_z
_atom_site_occupancy
Sc1 Sc 0.0000 0.0000 0.0000 1
Pa1 Pa 0.0000 0.0000 0.5000 1
Mn1 Mn 0.2500 0.2500 0.2500 1
Fe1 Fe 0.2500 0.2500 0.7500 1
```

Top 8 peaks for 2θ = 5–70°, in order of rising 2θ:
h k l	Position (°2θ)	Rel. int.
1 1 1	23.91	52
2 0 0	27.67	20
2 2 0	39.53	100
3 1 1	46.73	29
2 2 2	48.94	6
4 0 0	57.15	17
3 3 1	62.82	12
4 2 0	64.65	9

# 4
This entry pairs a crystal structure of MnFe3Pd6 with its calculated powder X-ray diffraction pattern. Radiation: Cu Kα (weighted mean of Kα1 and Kα2). Structure: a cell relaxed with PBE.

Cell and atoms:
```
data_MnFe3Pd6
_chemical_formula_sum 'Mn2 Fe6 Pd12'
_space_group_name_H-M_alt 'P 1 21/m 1'
_space_group_IT_number 11
_cell_length_a 7.2460
_cell_length_b 4.4497
_cell_length_c 9.5772
_cell_angle_alpha 90.00
_cell_angle_beta 110.30
_cell_angle_gamma 90.00
loop_
_space_group_symop_operation_xyz
'x,y,z'
'-x,-y,-z'
'-x,y+1/2,-z'
'x,-y+1/2,z'
loop_
_atom_site_label
_atom_site_type_symbol
_atom_site_fract_x
_atom_site_fract_y
_atom_site_fract_z
_atom_site_occupancy
Mn1 Mn 0.1111 0.2500 0.0781 1
Fe1 Fe 0.1061 0.7500 0.7230 1
Fe2 Fe 0.2968 0.7500 0.5363 1
Fe3 Fe 0.3148 0.2500 0.8640 1
Pd1 Pd 0.0759 0.7500 0.2219 1
Pd2 Pd 0.1025 0.2500 0.5713 1
Pd3 Pd 0.2809 0.7500 0.0189 1
Pd4 Pd 0.2944 0.2500 0.3702 1
Pd5 Pd 0.4920 0.7500 0.3295 1
Pd6 Pd 0.4953 0.7500 0.8350 1
```

Top 8 peaks for 2θ = 5–70°, in order of rising 2θ:
h k l	Position (°2θ)	Rel. int.
1 1 1	27.63	18
3 0 -2	37.77	16
2 0 2	38.37	34
0 2 0	40.55	73
1 1 -4	42.90	100
3 1 -2	43.07	97
2 1 2	43.61	68
2 2 2	57.05	21

# 5
This entry pairs a crystal structure of PrMnFeSi2 with its calculated powder X-ray diffraction pattern. Radiation: Cu Kα (weighted mean of Kα1 and Kα2). Structure: a cell relaxed with PBE.

Cell and atoms:
```
data_PrMnFeSi2
_chemical_formula_sum 'Pr2 Mn2 Fe2 Si4'
_space_group_name_H-M_alt 'I -4 m 2'
_space_group_IT_number 119
_space_group_name_Hall 'I -4 -2'
_cell_length_a 3.9764
_cell_length_b 3.9764
_cell_length_c 10.3659
_cell_angle_alpha 90.00
_cell_angle_beta 90.00
_cell_angle_gamma 90.00
loop_
_atom_site_label
_atom_site_type_symbol
_atom_site_fract_x
_atom_site_fract_y
_atom_site_fract_z
_atom_site_occupancy
Pr1 Pr 0.0000 0.0000 0.0000 1
Mn1 Mn 0.0000 0.5000 0.7500 1
Fe1 Fe 0.0000 0.5000 0.2500 1
Si1 Si 0.0000 0.0000 0.3718 1
```

Top 8 peaks for 2θ = 5–70°, in order of rising 2θ:
h k l	Position (°2θ)	Rel. int.
1 0 1	23.97	46
1 0 3	34.38	61
0 0 4	34.61	18
1 1 2	36.35	100
2 0 0	45.63	39
1 0 5	49.59	20
2 1 3	58.36	26
1 1 6	63.17	20

# 6
This entry pairs a crystal structure of MnFe5Pt6 with its calculated powder X-ray diffraction pattern. Radiation: Cu Kα (weighted mean of Kα1 and Kα2). Structure: a cell relaxed with PBE.

Cell and atoms:
```
data_MnFe5Pt6
_chemical_formula_sum 'Mn2 Fe10 Pt12'
_space_group_name_H-M_alt 'C m m m'
_space_group_IT_number 65
_space_group_name_Hall '-C 2 2'
_cell_length_a 3.9018
_cell_length_b 11.6672
_cell_length_c 7.4887
_cell_angle_alpha 90.00
_cell_angle_beta 90.00
_cell_angle_gamma 90.00
loop_
_atom_site_label
_atom_site_type_symbol
_atom_site_fract_x
_atom_site_fract_y
_atom_site_fract_z
_atom_site_occupancy
Mn1 Mn 0.0000 0.0000 0.0000 1
Fe1 Fe 0.0000 0.0000 0.5000 1
Fe2 Fe 0.0000 0.3258 0.0000 1
Fe3 Fe 0.0000 0.3349 0.5000 1
Pt1 Pt 0.0000 0.1670 0.2539 1
Pt2 Pt 0.0000 0.5000 0.2487 1
```

Top 8 peaks for 2θ = 5–70°, in order of rising 2θ:
h k l	Position (°2θ)	Rel. int.
0 0 2	23.76	28
1 3 0	32.51	26
1 3 2	40.66	100
2 0 0	46.55	17
0 6 0	46.71	17
0 0 4	48.63	15
2 6 0	68.08	11
2 0 4	69.60	10

# 7
This entry pairs a crystal structure of MnFePt with its calculated powder X-ray diffraction pattern. Radiation: Cu Kα (weighted mean of Kα1 and Kα2). Structure: a cell relaxed with PBE.

Cell and atoms:
```
data_MnFePt
_chemical_formula_sum 'Mn2 Fe2 Pt2'
_space_group_name_H-M_alt 'I 4 m m'
_space_group_IT_number 107
_space_group_name_Hall 'I 4 -2'
_cell_length_a 2.6690
_cell_length_b 2.6690
_cell_length_c 11.0730
_cell_angle_alpha 90.00
_cell_angle_beta 90.00
_cell_angle_gamma 90.00
loop_
_atom_site_label
_atom_site_type_symbol
_atom_site_fract_x
_atom_site_fract_y
_atom_site_fract_z
_atom_site_occupancy
Mn1 Mn 0.0000 0.0000 0.0000 1
Fe1 Fe 0.0000 0.0000 0.3466 1
Pt1 Pt 0.0000 0.0000 0.6747 1
```

Top 8 peaks for 2θ = 5–70°, in order of rising 2θ:
h k l	Position (°2θ)	Rel. int.
0 0 2	16.01	44
0 0 4	32.34	12
1 0 1	34.57	34
1 0 3	41.76	100
1 1 0	48.22	33
0 0 6	49.38	15
1 1 2	51.13	10
1 1 4	59.26	9

# 8
This entry pairs a crystal structure of MnFePt with its calculated powder X-ray diffraction pattern. Radiation: Cu Kα (weighted mean of Kα1 and Kα2). Structure: a cell relaxed with PBE.

Cell and atoms:
```
data_MnFePt
_chemical_formula_sum 'Mn4 Fe4 Pt4'
_space_group_name_H-M_alt 'C m c m'
_space_group_IT_number 63
_space_group_name_Hall '-C 2c 2'
_cell_length_a 3.3457
_cell_length_b 12.4808
_cell_length_c 4.0432
_cell_angle_alpha 90.00
_cell_angle_beta 90.00
_cell_angle_gamma 90.00
loop_
_atom_site_label
_atom_site_type_symbol
_atom_site_fract_x
_atom_site_fract_y
_atom_site_fract_z
_atom_site_occupancy
Mn1 Mn 0.0000 0.0859 0.2500 1
Fe1 Fe 0.0000 0.2495 0.7500 1
Pt1 Pt 0.0000 0.4140 0.2500 1
```

Top 8 peaks for 2θ = 5–70°, in order of rising 2θ:
h k l	Position (°2θ)	Rel. int.
0 2 0	14.19	11
0 2 1	26.26	25
1 1 0	27.60	20
1 3 1	41.20	100
0 6 0	43.51	21
0 0 2	44.83	20
2 0 0	54.88	11
0 6 2	64.25	13